(1)
VWSe6: computed powder diffractogram (Cu Ka), based on a structure optimized by DFT (PBE).
No peak broadening, texture or thermal motion is included.

Cell and atoms:
```
data_VWSe6
_chemical_formula_sum 'V1 W1 Se6'
_symmetry_space_group_name_H-M 'P -1'
_symmetry_Int_Tables_number 2
_symmetry_space_group_name_Hall '-P 1'
_cell_length_a 6.0972
_cell_length_b 6.3312
_cell_length_c 6.3341
_cell_angle_alpha 67.64
_cell_angle_beta 61.43
_cell_angle_gamma 61.43
loop_
_atom_site_label
_atom_site_fract_x
_atom_site_fract_y
_atom_site_fract_z
V1 0.0000 0.0000 0.0000
W1 0.5000 0.5000 0.5000
Se1 0.1437 0.3536 0.8526
Se2 0.1459 0.8545 0.3517
Se3 0.4421 0.7546 0.7544
```

Largest 10 diffraction maxima, most intense first, 10° ≤ 2θ ≤ 90°:
2θ/deg  intensity
31.08  100
19.25  98
34.62  47
49.65  43
39.07  36
51.89  28
44.65  28
16.26  26
44.52  25
17.85  24

(2)
KPt6Pb6: computed powder diffractogram (Cu Ka), based on a structure optimized by DFT (PBE).
No peak broadening, texture or thermal motion is included.

Cell and atoms:
```
data_KPt6Pb6
_chemical_formula_sum 'K2 Pt12 Pb12'
_symmetry_space_group_name_H-M 'I m m m'
_symmetry_Int_Tables_number 71
_symmetry_space_group_name_Hall '-I 2 2'
_cell_length_a 5.7722
_cell_length_b 9.9807
_cell_length_c 10.0411
_cell_angle_alpha 90.00
_cell_angle_beta 90.00
_cell_angle_gamma 90.00
loop_
_atom_site_label
_atom_site_fract_x
_atom_site_fract_y
_atom_site_fract_z
K1 0.0000 0.0000 0.0000
Pt1 0.0000 0.5000 0.2637
Pt2 0.2500 0.2500 0.2500
Pb1 0.0000 0.0000 0.3365
Pb2 0.0000 0.3261 0.5000
Pb3 0.0000 0.3403 0.0000
```

Largest 10 diffraction maxima, most intense first, 10° ≤ 2θ ≤ 90°:
2θ/deg  intensity
40.34  100
35.92  72
35.80  35
40.21  33
64.64  26
31.01  26
17.71  23
64.36  23
61.45  20
76.14  17

(3)
Pa3Si7W: computed powder diffractogram (Cu Ka), based on a structure optimized by DFT (PBE).
No peak broadening, texture or thermal motion is included.

Cell and atoms:
```
data_Pa3Si7W
_chemical_formula_sum 'Pa12 Si28 W4'
_symmetry_space_group_name_H-M 'C m c m'
_symmetry_Int_Tables_number 63
_symmetry_space_group_name_Hall '-C 2c 2'
_cell_length_a 4.0320
_cell_length_b 18.8690
_cell_length_c 10.5641
_cell_angle_alpha 90.00
_cell_angle_beta 90.00
_cell_angle_gamma 90.00
loop_
_atom_site_label
_atom_site_fract_x
_atom_site_fract_y
_atom_site_fract_z
Pa1 0.0000 0.1106 0.0556
Pa2 0.0000 0.2284 0.7500
Si1 0.0000 0.2707 0.0375
Si2 0.0000 0.3772 0.1410
Si3 0.0000 0.3804 0.7500
Si4 0.0000 0.4966 0.6199
W1 0.0000 0.0539 0.7500
```

Largest 10 diffraction maxima, most intense first, 10° ≤ 2θ ≤ 90°:
2θ/deg  intensity
34.14  100
36.79  77
22.55  65
25.31  62
27.03  60
33.62  48
29.64  39
71.29  37
52.15  36
44.96  35

(4)
Ho3BiPd12: computed powder diffractogram (Cu Ka), based on a structure optimized by DFT (PBE).
No peak broadening, texture or thermal motion is included.

Cell and atoms:
```
data_Ho3BiPd12
_chemical_formula_sum 'Ho3 Bi1 Pd12'
_symmetry_space_group_name_H-M 'P 4/m m m'
_symmetry_Int_Tables_number 123
_symmetry_space_group_name_Hall '-P 4 2'
_cell_length_a 4.1181
_cell_length_b 4.1181
_cell_length_c 16.4818
_cell_angle_alpha 90.00
_cell_angle_beta 90.00
_cell_angle_gamma 90.00
loop_
_atom_site_label
_atom_site_fract_x
_atom_site_fract_y
_atom_site_fract_z
Ho1 0.0000 0.0000 0.0000
Ho2 0.0000 0.0000 0.2464
Bi1 0.0000 0.0000 0.5000
Pd1 0.0000 0.5000 0.1250
Pd2 0.0000 0.5000 0.3750
Pd3 0.5000 0.5000 0.0000
Pd4 0.5000 0.5000 0.2523
Pd5 0.5000 0.5000 0.5000
```

Largest 10 diffraction maxima, most intense first, 10° ≤ 2θ ≤ 90°:
2θ/deg  intensity
37.83  100
43.97  49
76.74  37
63.93  32
80.84  11
21.57  5
30.70  4
49.48  3
54.58  2
68.32  1

(5)
Pu2Fe2Ge3: computed powder diffractogram (Cu Ka), based on a structure optimized by DFT (PBE).
No peak broadening, texture or thermal motion is included.

Cell and atoms:
```
data_Pu2Fe2Ge3
_chemical_formula_sum 'Pu4 Fe4 Ge6'
_symmetry_space_group_name_H-M 'C m m m'
_symmetry_Int_Tables_number 65
_symmetry_space_group_name_Hall '-C 2 2'
_cell_length_a 3.9092
_cell_length_b 22.1612
_cell_length_c 2.4656
_cell_angle_alpha 90.00
_cell_angle_beta 90.00
_cell_angle_gamma 90.00
loop_
_atom_site_label
_atom_site_fract_x
_atom_site_fract_y
_atom_site_fract_z
Pu1 0.0000 0.0865 0.0000
Fe1 0.0000 0.2232 0.0000
Ge1 0.0000 0.3277 0.5000
Ge2 0.0000 0.5000 0.5000
```

Largest 10 diffraction maxima, most intense first, 10° ≤ 2θ ≤ 90°:
2θ/deg  intensity
36.51  100
30.49  100
43.59  94
44.16  79
23.10  56
66.03  48
46.46  40
24.09  31
64.29  27
52.55  22

(6)
HoAgRh: computed powder diffractogram (Cu Ka), based on a structure optimized by DFT (PBE).
No peak broadening, texture or thermal motion is included.

Cell and atoms:
```
data_HoAgRh
_chemical_formula_sum 'Ho4 Ag4 Rh4'
_symmetry_space_group_name_H-M 'I m m m'
_symmetry_Int_Tables_number 71
_symmetry_space_group_name_Hall '-I 2 2'
_cell_length_a 3.3948
_cell_length_b 5.5754
_cell_length_c 12.6855
_cell_angle_alpha 90.00
_cell_angle_beta 90.00
_cell_angle_gamma 90.00
loop_
_atom_site_label
_atom_site_fract_x
_atom_site_fract_y
_atom_site_fract_z
Ho1 0.0000 0.0000 0.1851
Ag1 0.0000 0.2543 0.5000
Rh1 0.0000 0.5000 0.1413
```

Largest 10 diffraction maxima, most intense first, 10° ≤ 2θ ≤ 90°:
2θ/deg  intensity
33.86  100
42.56  48
35.16  42
56.00  19
43.21  19
42.77  18
77.37  18
39.00  16
54.02  15
34.00  13

(7)
Er2GaPt4: computed powder diffractogram (Cu Ka), based on a structure optimized by DFT (PBE).
No peak broadening, texture or thermal motion is included.

Cell and atoms:
```
data_Er2GaPt4
_chemical_formula_sum 'Er4 Ga2 Pt8'
_symmetry_space_group_name_H-M 'I 4/m m m'
_symmetry_Int_Tables_number 139
_symmetry_space_group_name_Hall '-I 4 2'
_cell_length_a 4.6263
_cell_length_b 4.6263
_cell_length_c 14.4041
_cell_angle_alpha 90.00
_cell_angle_beta 90.00
_cell_angle_gamma 90.00
loop_
_atom_site_label
_atom_site_fract_x
_atom_site_fract_y
_atom_site_fract_z
Er1 0.0000 0.0000 0.1396
Ga1 0.0000 0.0000 0.5000
Pt1 0.0000 0.0000 0.3272
Pt2 0.0000 0.5000 0.0000
```

Largest 10 diffraction maxima, most intense first, 10° ≤ 2θ ≤ 90°:
2θ/deg  intensity
30.00  100
38.94  100
37.13  95
55.14  54
37.46  41
56.24  35
36.75  32
69.33  31
27.26  31
69.55  27